[1]
This entry pairs a crystal structure of DyTaBe17 with its simulated X-ray diffraction stick pattern. Radiation: Cu Kα (λ = 1.5418 Å). Structure: the PBE geometry in Alexandria.
Peak positions follow from Bragg's law for the DFT cell and can differ from measured ones.

```
DyTaBe17
1.0
3.7581 2.1698 3.6608
-3.7581 2.1698 3.6608
0.0000 -4.3395 3.6608
Dy Ta Be
1 1 17
Cartesian
0.0000 0.0000 0.0000
0.0000 0.0000 7.4003
-1.0947 -1.8536 3.7144
-2.1527 -0.0212 3.7144
-1.8635 -1.0759 5.6325
0.0000 0.0000 2.7041
1.0947 -1.8536 3.7144
-1.0579 1.8749 3.7144
0.0000 -2.1418 5.5725
-1.8549 1.0709 5.5725
0.0000 0.0000 4.8094
-1.8487 -1.0673 9.0962
2.1527 -0.0212 3.7144
1.0579 1.8749 3.7144
1.8635 -1.0759 5.6325
0.0000 2.1518 5.6325
1.8549 1.0709 5.5725
1.8487 -1.0673 9.0962
0.0000 2.1347 9.0962
```

The 10 most intense peaks (10 to 90 degrees two-theta), by angle:
2theta  Rel. int.
15.83  63
21.17  28
23.67  100
24.31  32
34.19  91
41.62  30
48.44  23
48.79  43
49.78  20
71.22  28


[2]
This entry pairs a crystal structure of DyBe2V with its simulated X-ray diffraction stick pattern. Radiation: Cu Kα (λ = 1.5418 Å). Structure: the PBE geometry in Alexandria.
Peak positions follow from Bragg's law for the DFT cell and can differ from measured ones.

```
DyBe2V
1.0
1.5709 0.9070 7.4171
-1.5709 0.9070 7.4171
0.0000 -1.8139 7.4171
Dy Be V
1 2 1
Cartesian
0.0000 0.0000 0.0000
0.0000 0.0000 5.2607
0.0000 0.0000 16.9908
0.0000 0.0000 11.1257
```

The 10 most intense peaks (10 to 90 degrees two-theta), by angle:
2theta  Rel. int.
11.93  100
24.00  79
33.17  32
33.92  97
36.77  97
38.79  23
46.70  48
53.17  28
58.78  24
64.41  30